Structure and calculated PXRD pattern of MnAg2PdCl6 (the GGA-PBE geometry in Alexandria; a wavelength of 1.5418 Å).

Top 8 peaks for 2θ = 5–70°, sorted by position:
| d_spacing | 2θ/deg | I_rel |
| --- | --- | --- |
| 3.461 | 25.7 | 100 |
| 3.323 | 26.8 | 67 |
| 2.882 | 31.0 | 45 |
| 2.397 | 37.5 | 65 |
| 2.179 | 41.4 | 31 |
| 1.944 | 46.7 | 46 |
| 1.918 | 47.4 | 47 |
| 1.660 | 55.3 | 22 |

Cell and atoms:
a b c (Å): 6.9331 6.9331 6.9331
angles (deg): 57.27 57.27 57.27
Sites, in units of the cell vectors:
Mn 0.0000 0.0000 0.0000
Ag 0.2781 0.2781 0.2781
Ag 0.7775 0.7775 0.7775
Pd 0.5000 0.5000 0.5000
Cl 0.1281 0.7491 0.3612
Cl 0.2367 0.6375 0.8707
Cl 0.3612 0.1281 0.7491
Cl 0.6375 0.8707 0.2367
Cl 0.7491 0.3612 0.1281
Cl 0.8707 0.2367 0.6375